# Cs2LiI3
Simulated powder X-ray diffraction pattern, λ = 1.5418 Å (Cu Kα). Input: a cell relaxed with PBE.

Peak list (8 most intense, 2θ from 15° to 90°, in order of falling intensity)
2θ 24.9, rel. 100, (1 5 0)
2θ 27.1, rel. 90, (1 1 2)
2θ 28.9, rel. 58, (0 6 2)
2θ 48.3, rel. 31, (1 5 4)
2θ 46.9, rel. 27, (2 6 2)
2θ 24.4, rel. 26, (0 4 2)
2θ 36.1, rel. 23, (2 0 0)
2θ 47.5, rel. 21, (1 11 2)

Cell and atoms:
```
data_Cs2LiI3
_symmetry_space_group_name_H-M 'C m c 21'
_symmetry_Int_Tables_number 36
_cell_length_a 4.982
_cell_length_b 25.773
_cell_length_c 8.869
_cell_angle_alpha 90.00
_cell_angle_beta 90.00
_cell_angle_gamma 90.00
loop_
_symmetry_equiv_pos_as_xyz
'x,y,z'
'-x,-y,z+1/2'
'-x,y,z'
'x,-y,z+1/2'
'x+1/2,y+1/2,z'
'-x+1/2,-y+1/2,z+1/2'
'-x+1/2,y+1/2,z'
'x+1/2,-y+1/2,z+1/2'
loop_
_atom_site_label
_atom_site_type_symbol
_atom_site_fract_x
_atom_site_fract_y
_atom_site_fract_z
Cs1 Cs 0.000 0.010 0.000
Cs2 Cs 0.000 0.176 0.495
Li1 Li 0.000 0.349 0.504
I1 I 0.000 0.205 0.014
I2 I 0.000 0.410 0.245
I3 I 0.000 0.414 0.758
```

***

# Na2SnCSO7
Simulated powder X-ray diffraction pattern, λ = 1.5418 Å (Cu Kα). Input: a cell relaxed with PBE.

Peak list (8 most intense, 2θ from 15° to 90°, in order of falling intensity)
2θ 25.1, rel. 100, (0 2 0)
2θ 25.6, rel. 97, (1 0 2)
2θ 20.5, rel. 87, (1 1 0)
2θ 24.4, rel. 83, (1 0 -2)
2θ 15.7, rel. 80, (0 1 1)
2θ 31.3, rel. 74, (1 2 -1)
2θ 31.7, rel. 66, (1 2 1)
2θ 32.7, rel. 60, (2 0 0)

Cell and atoms:
```
data_Na2SnCSO7
_symmetry_space_group_name_H-M 'P 1 21/m 1'
_symmetry_Int_Tables_number 11
_cell_length_a 5.477
_cell_length_b 7.107
_cell_length_c 9.379
_cell_angle_alpha 90.00
_cell_angle_beta 92.67
_cell_angle_gamma 90.00
loop_
_symmetry_equiv_pos_as_xyz
'x,y,z'
'-x,-y,-z'
'-x,y+1/2,-z'
'x,-y+1/2,z'
loop_
_atom_site_label
_atom_site_type_symbol
_atom_site_fract_x
_atom_site_fract_y
_atom_site_fract_z
Na1 Na 0.235 0.004 0.210
Sn1 Sn 0.233 0.250 0.626
C1 C 0.263 0.250 0.917
S1 S 0.268 0.750 0.606
O1 O 0.054 0.250 0.839
O2 O 0.141 0.581 0.663
O3 O 0.245 0.750 0.445
O4 O 0.266 0.250 0.052
O5 O 0.463 0.250 0.844
O6 O 0.470 0.250 0.347
```

***

# Cs2InGaF6
Simulated powder X-ray diffraction pattern, λ = 1.5418 Å (Cu Kα). Input: a cell relaxed with PBE.

Peak list (8 most intense, 2θ from 15° to 90°, in order of falling intensity)
2θ 26.9, rel. 100, (2 2 0)
2θ 47.6, rel. 41, (4 2 2)
2θ 38.5, rel. 35, (4 0 0)
2θ 55.5, rel. 22, (4 4 0)
2θ 76.1, rel. 22, (6 4 2)
2θ 62.8, rel. 19, (6 2 0)
2θ 88.6, rel. 11, (6 6 0)
2θ 33.1, rel. 8, (2 2 2)

Cell and atoms:
```
data_Cs2InGaF6
_symmetry_space_group_name_H-M 'F m -3 m'
_symmetry_Int_Tables_number 225
_symmetry_space_group_name_Hall '-F 4 2 3'
_cell_length_a 9.364
_cell_length_b 9.364
_cell_length_c 9.364
_cell_angle_alpha 90.00
_cell_angle_beta 90.00
_cell_angle_gamma 90.00
loop_
_atom_site_label
_atom_site_type_symbol
_atom_site_fract_x
_atom_site_fract_y
_atom_site_fract_z
Cs1 Cs 0.250 0.250 0.250
In1 In 0.000 0.000 0.000
Ga1 Ga 0.000 0.000 0.500
F1 F 0.000 0.000 0.227
```

***

# CdH5Br3N2
Simulated powder X-ray diffraction pattern, λ = 1.5418 Å (Cu Kα). Input: a cell relaxed with PBE.

Peak list (8 most intense, 2θ from 15° to 90°, in order of falling intensity)
2θ 30.8, rel. 100, (1 2 2)
2θ 28.1, rel. 70, (1 0 -2)
2θ 26.1, rel. 51, (0 5 1)
2θ 29.6, rel. 45, (1 1 2)
2θ 35.8, rel. 45, (1 2 -3)
2θ 26.4, rel. 43, (0 4 2)
2θ 45.8, rel. 38, (2 0 0)
2θ 28.6, rel. 35, (1 1 -2)

Cell and atoms:
```
data_CdH5Br3N2
_symmetry_space_group_name_H-M 'P 1 21/c 1'
_symmetry_Int_Tables_number 14
_cell_length_a 3.966
_cell_length_b 18.133
_cell_length_c 10.112
_cell_angle_alpha 90.00
_cell_angle_beta 92.14
_cell_angle_gamma 90.00
loop_
_symmetry_equiv_pos_as_xyz
'x,y,z'
'-x,-y,-z'
'-x,y+1/2,-z+1/2'
'x,-y+1/2,z+1/2'
loop_
_atom_site_label
_atom_site_type_symbol
_atom_site_fract_x
_atom_site_fract_y
_atom_site_fract_z
Cd1 Cd 0.215 0.069 0.351
H1 H 0.095 0.637 0.676
H2 H 0.120 0.587 0.540
H3 H 0.299 0.694 0.427
H4 H 0.316 0.737 0.576
H5 H 0.417 0.166 0.953
Br1 Br 0.188 0.209 0.253
Br2 Br 0.253 0.592 0.958
Br3 Br 0.309 0.517 0.319
N1 N 0.069 0.639 0.574
N2 N 0.335 0.686 0.529
```

***

# Ba3Bi6PbSe13
Simulated powder X-ray diffraction pattern, λ = 1.5418 Å (Cu Kα). Input: a cell relaxed with PBE.

Peak list (8 most intense, 2θ from 15° to 90°, in order of falling intensity)
2θ 29.3, rel. 100, (4 1 1)
2θ 41.7, rel. 61, (0 2 0)
2θ 29.2, rel. 45, (3 1 -3)
2θ 24.0, rel. 45, (1 0 -5)
2θ 28.7, rel. 40, (1 0 -6)
2θ 28.9, rel. 39, (4 1 0)
2θ 27.2, rel. 35, (3 1 -2)
2θ 26.0, rel. 34, (3 1 1)

Cell and atoms:
```
data_Ba3Bi6PbSe13
_symmetry_space_group_name_H-M 'P 1 21/m 1'
_symmetry_Int_Tables_number 11
_cell_length_a 17.595
_cell_length_b 4.334
_cell_length_c 18.941
_cell_angle_alpha 90.00
_cell_angle_beta 90.64
_cell_angle_gamma 90.00
loop_
_symmetry_equiv_pos_as_xyz
'x,y,z'
'-x,-y,-z'
'-x,y+1/2,-z'
'x,-y+1/2,z'
loop_
_atom_site_label
_atom_site_type_symbol
_atom_site_fract_x
_atom_site_fract_y
_atom_site_fract_z
Ba1 Ba 0.018 0.250 0.344
Ba2 Ba 0.233 0.250 0.176
Ba3 Ba 0.248 0.750 0.734
Bi1 Bi 0.010 0.750 0.118
Bi2 Bi 0.173 0.250 0.525
Bi3 Bi 0.188 0.750 0.957
Bi4 Bi 0.328 0.750 0.382
Bi5 Bi 0.397 0.250 0.977
Bi6 Bi 0.419 0.250 0.577
Pb1 Pb 0.487 0.250 0.249
Se1 Se 0.074 0.750 0.488
Se2 Se 0.078 0.750 0.827
Se3 Se 0.104 0.250 0.035
Se4 Se 0.105 0.750 0.234
Se5 Se 0.125 0.250 0.664
Se6 Se 0.224 0.250 0.363
Se7 Se 0.265 0.250 0.877
Se8 Se 0.305 0.750 0.555
Se9 Se 0.311 0.750 0.056
Se10 Se 0.362 0.750 0.240
Se11 Se 0.392 0.250 0.721
Se12 Se 0.461 0.250 0.412
Se13 Se 0.482 0.750 0.911
```

***

# Pm3Tl
Simulated powder X-ray diffraction pattern, λ = 1.5418 Å (Cu Kα). Input: a cell relaxed with PBE.

Peak list (8 most intense, 2θ from 15° to 90°, in order of falling intensity)
2θ 31.2, rel. 100, (1 1 1)
2θ 36.2, rel. 51, (2 0 0)
2θ 62.0, rel. 43, (3 1 1)
2θ 52.1, rel. 36, (2 2 0)
2θ 85.1, rel. 18, (3 3 1)
2θ 87.9, rel. 17, (4 2 0)
2θ 65.0, rel. 12, (2 2 2)
2θ 76.7, rel. 6, (4 0 0)

Cell and atoms:
```
data_Pm3Tl
_symmetry_space_group_name_H-M 'P m -3 m'
_symmetry_Int_Tables_number 221
_symmetry_space_group_name_Hall '-P 4 2 3'
_cell_length_a 4.968
_cell_length_b 4.968
_cell_length_c 4.968
_cell_angle_alpha 90.00
_cell_angle_beta 90.00
_cell_angle_gamma 90.00
loop_
_atom_site_label
_atom_site_type_symbol
_atom_site_fract_x
_atom_site_fract_y
_atom_site_fract_z
Pm1 Pm 0.000 0.000 0.500
Tl1 Tl 0.500 0.500 0.500
```

***

# LiCuPO4
Simulated powder X-ray diffraction pattern, λ = 1.5418 Å (Cu Kα). Input: a cell relaxed with PBE.

Peak list (8 most intense, 2θ from 15° to 90°, in order of falling intensity)
2θ 21.6, rel. 100, (1 1 -1)
2θ 21.8, rel. 64, (2 0 0)
2θ 28.5, rel. 58, (1 0 2)
2θ 35.3, rel. 29, (0 2 0)
2θ 31.2, rel. 23, (2 1 -2)
2θ 27.3, rel. 21, (2 1 -1)
2θ 22.8, rel. 18, (0 0 2)
2θ 46.7, rel. 15, (3 0 2)

Cell and atoms:
```
data_LiCuPO4
_symmetry_space_group_name_H-M 'P 1 c 1'
_symmetry_Int_Tables_number 7
_cell_length_a 8.690
_cell_length_b 5.087
_cell_length_c 8.306
_cell_angle_alpha 90.00
_cell_angle_beta 109.91
_cell_angle_gamma 90.00
loop_
_symmetry_equiv_pos_as_xyz
'x,y,z'
'x,-y,z+1/2'
loop_
_atom_site_label
_atom_site_type_symbol
_atom_site_fract_x
_atom_site_fract_y
_atom_site_fract_z
Li1 Li 0.000 0.161 0.000
Li2 Li 0.525 0.324 0.674
Cu1 Cu 0.273 0.328 0.903
Cu2 Cu 0.749 0.187 0.236
P1 P 0.389 0.166 0.277
P2 P 0.883 0.327 0.628
O1 O 0.038 0.272 0.785
O2 O 0.235 0.188 0.114
O3 O 0.362 0.313 0.429
O4 O 0.431 0.127 0.827
O5 O 0.533 0.293 0.232
O6 O 0.735 0.204 0.667
O7 O 0.856 0.373 0.094
O8 O 0.906 0.195 0.469
```

***

# BaMg6Zr
Simulated powder X-ray diffraction pattern, λ = 1.5418 Å (Cu Kα). Input: a cell relaxed with PBE.

Peak list (8 most intense, 2θ from 15° to 90°, in order of falling intensity)
2θ 32.6, rel. 100, (2 0 1)
2θ 18.5, rel. 45, (1 1 0)
2θ 26.5, rel. 35, (1 1 1)
2θ 37.6, rel. 32, (2 2 0)
2θ 64.7, rel. 23, (4 2 1)
2θ 54.6, rel. 21, (2 2 2)
2θ 18.8, rel. 21, (0 0 1)
2θ 26.3, rel. 20, (2 0 0)

Cell and atoms:
```
data_BaMg6Zr
_symmetry_space_group_name_H-M 'P 4/m m m'
_symmetry_Int_Tables_number 123
_symmetry_space_group_name_Hall '-P 4 2'
_cell_length_a 6.766
_cell_length_b 6.766
_cell_length_c 4.723
_cell_angle_alpha 90.00
_cell_angle_beta 90.00
_cell_angle_gamma 90.00
loop_
_atom_site_label
_atom_site_type_symbol
_atom_site_fract_x
_atom_site_fract_y
_atom_site_fract_z
Ba1 Ba 0.000 0.000 0.000
Mg1 Mg 0.000 0.500 0.000
Mg2 Mg 0.278 0.278 0.500
Zr1 Zr 0.500 0.500 0.000
```

***

# YCuF5
Simulated powder X-ray diffraction pattern, λ = 1.5418 Å (Cu Kα). Input: a cell relaxed with PBE.

Peak list (8 most intense, 2θ from 15° to 90°, in order of falling intensity)
2θ 24.6, rel. 100, (1 1 0)
2θ 22.0, rel. 81, (0 0 2)
2θ 25.6, rel. 62, (0 2 0)
2θ 44.6, rel. 33, (1 3 0)
2θ 42.7, rel. 27, (2 0 0)
2θ 33.3, rel. 25, (1 1 2)
2θ 51.9, rel. 22, (1 1 4)
2θ 44.9, rel. 21, (0 0 4)

Cell and atoms:
```
data_YCuF5
_symmetry_space_group_name_H-M 'I m m m'
_symmetry_Int_Tables_number 71
_symmetry_space_group_name_Hall '-I 2 2'
_cell_length_a 4.232
_cell_length_b 6.951
_cell_length_c 8.067
_cell_angle_alpha 90.00
_cell_angle_beta 90.00
_cell_angle_gamma 90.00
loop_
_atom_site_label
_atom_site_type_symbol
_atom_site_fract_x
_atom_site_fract_y
_atom_site_fract_z
Y1 Y 0.000 0.000 0.000
Cu1 Cu 0.000 0.000 0.500
F1 F 0.000 0.000 0.274
F2 F 0.000 0.313 0.000
F3 F 0.000 0.500 0.500
```

***

# Cs4Sn23
Simulated powder X-ray diffraction pattern, λ = 1.5418 Å (Cu Kα). Input: a cell relaxed with PBE.

Peak list (8 most intense, 2θ from 15° to 90°, in order of falling intensity)
2θ 26.2, rel. 100, (3 2 1)
2θ 41.3, rel. 58, (5 3 0)
2θ 43.8, rel. 57, (5 3 2)
2θ 25.2, rel. 37, (3 2 0)
2θ 24.2, rel. 30, (2 2 2)
2θ 42.6, rel. 25, (6 0 0)
2θ 28.9, rel. 20, (4 1 0)
2θ 42.0, rel. 19, (5 3 1)

Cell and atoms:
```
data_Cs4Sn23
_symmetry_space_group_name_H-M 'P m -3 n'
_symmetry_Int_Tables_number 223
_symmetry_space_group_name_Hall '-P 4n 2 3'
_cell_length_a 12.732
_cell_length_b 12.732
_cell_length_c 12.732
_cell_angle_alpha 90.00
_cell_angle_beta 90.00
_cell_angle_gamma 90.00
loop_
_atom_site_label
_atom_site_type_symbol
_atom_site_fract_x
_atom_site_fract_y
_atom_site_fract_z
Cs1 Cs 0.000 0.000 0.000
Cs2 Cs 0.000 0.250 0.500
Sn1 Sn 0.000 0.307 0.118
Sn2 Sn 0.000 0.500 0.250
Sn3 Sn 0.184 0.184 0.184
```